Record 1
Diffraction record for CoCI3. The XRD peak list is simulated, not measured: it uses the GGA-PBE geometry in Alexandria and a wavelength of 1.5418 Å.
Neutral-atom scattering factors, no anomalous dispersion.

The 10 most intense peaks (10° ≤ 2θ ≤ 90°), by angle:
- 17.6 deg, I = 9
- 30.7 deg, I = 100
- 35.5 deg, I = 55
- 39.9 deg, I = 4
- 51.1 deg, I = 38
- 60.8 deg, I = 41
- 63.8 deg, I = 13
- 75.2 deg, I = 6
- 83.4 deg, I = 17
- 86.1 deg, I = 17

Structure:
Unit cell a=5.052 b=5.052 c=5.052 alpha=90.00 beta=90.00 gamma=90.00
Fractional coordinates of all 5 atoms:
Co: 0.000 0.000 0.000
C: 0.500 0.500 0.500
I: 0.000 0.500 0.500
I: 0.500 0.000 0.500
I: 0.500 0.500 0.000

Record 2
Diffraction record for Pm8CoC3I4. The XRD peak list is simulated, not measured: it uses the GGA-PBE geometry in Alexandria and a wavelength of 1.5418 Å.
Neutral-atom scattering factors, no anomalous dispersion.

The 10 most intense peaks (10° ≤ 2θ ≤ 90°), by angle:
- 26.5 deg, I = 21
- 27.3 deg, I = 15
- 30.4 deg, I = 100
- 32.6 deg, I = 54
- 34.7 deg, I = 24
- 40.8 deg, I = 17
- 46.2 deg, I = 41
- 56.3 deg, I = 17
- 58.3 deg, I = 14
- 59.0 deg, I = 31

Structure:
Unit cell a=8.982 b=8.982 c=8.982 alpha=51.91 beta=51.91 gamma=51.91
Fractional coordinates of all 16 atoms:
Pm: 0.213 0.731 0.731
Pm: 0.224 0.224 0.224
Pm: 0.269 0.269 0.787
Pm: 0.269 0.787 0.269
Pm: 0.731 0.213 0.731
Pm: 0.731 0.731 0.213
Pm: 0.776 0.776 0.776
Pm: 0.787 0.269 0.269
Co: 0.500 0.500 0.500
C: 0.000 0.000 0.500
C: 0.000 0.500 0.000
C: 0.500 0.000 0.000
I: 0.000 0.000 0.000
I: 0.000 0.500 0.500
I: 0.500 0.000 0.500
I: 0.500 0.500 0.000

Record 3
Diffraction record for In4Co12C3. The XRD peak list is simulated, not measured: it uses the GGA-PBE geometry in Alexandria and a wavelength of 1.5418 Å.
Neutral-atom scattering factors, no anomalous dispersion.

The 10 most intense peaks (10° ≤ 2θ ≤ 90°), by angle:
- 23.2 deg, I = 5
- 33.3 deg, I = 8
- 41.0 deg, I = 100
- 47.5 deg, I = 35
- 48.2 deg, I = 17
- 69.5 deg, I = 10
- 70.0 deg, I = 20
- 84.0 deg, I = 22
- 84.9 deg, I = 11
- 89.0 deg, I = 11

Structure:
Unit cell a=3.827 b=3.827 c=15.118 alpha=90.00 beta=90.00 gamma=90.00
Fractional coordinates of all 19 atoms:
In: 0.000 0.000 0.122
In: 0.000 0.000 0.374
In: 0.000 0.000 0.626
In: 0.000 0.000 0.878
Co: 0.000 0.500 0.000
Co: 0.000 0.500 0.249
Co: 0.000 0.500 0.500
Co: 0.000 0.500 0.751
Co: 0.500 0.000 0.000
Co: 0.500 0.000 0.249
Co: 0.500 0.000 0.500
Co: 0.500 0.000 0.751
Co: 0.500 0.500 0.118
Co: 0.500 0.500 0.373
Co: 0.500 0.500 0.627
Co: 0.500 0.500 0.882
C: 0.500 0.500 0.243
C: 0.500 0.500 0.500
C: 0.500 0.500 0.757

Record 4
Diffraction record for ZnIn2CoC. The XRD peak list is simulated, not measured: it uses the GGA-PBE geometry in Alexandria and a wavelength of 1.5418 Å.
Neutral-atom scattering factors, no anomalous dispersion.

The 10 most intense peaks (10° ≤ 2θ ≤ 90°), by angle:
- 18.1 deg, I = 49
- 19.4 deg, I = 63
- 32.4 deg, I = 100
- 36.7 deg, I = 79
- 39.4 deg, I = 32
- 41.9 deg, I = 35
- 52.9 deg, I = 26
- 55.0 deg, I = 47
- 63.4 deg, I = 27
- 67.9 deg, I = 24

Structure:
Unit cell a=4.895 b=4.895 c=4.573 alpha=90.00 beta=90.00 gamma=90.00
Fractional coordinates of all 5 atoms:
Zn: 0.000 0.000 0.000
In: 0.000 0.500 0.500
In: 0.500 0.000 0.500
Co: 0.000 0.000 0.500
C: 0.500 0.500 0.000

Record 5
Diffraction record for K3CoC6N6. The XRD peak list is simulated, not measured: it uses the GGA-PBE geometry in Alexandria and a wavelength of 1.5418 Å.
Neutral-atom scattering factors, no anomalous dispersion.

The 10 most intense peaks (10° ≤ 2θ ≤ 90°), by angle:
- 16.6 deg, I = 23
- 21.4 deg, I = 100
- 22.1 deg, I = 29
- 28.7 deg, I = 21
- 28.8 deg, I = 19
- 28.9 deg, I = 20
- 30.1 deg, I = 28
- 30.2 deg, I = 28
- 33.7 deg, I = 35
- 34.0 deg, I = 21

Structure:
Unit cell a=7.144 b=10.478 c=8.429 alpha=90.00 beta=107.37 gamma=90.00
Fractional coordinates of all 32 atoms:
K: 0.000 0.000 0.000
K: 0.000 0.500 0.500
K: 0.498 0.220 0.876
K: 0.498 0.280 0.376
K: 0.502 0.720 0.624
K: 0.502 0.780 0.124
Co: 0.000 0.000 0.500
Co: 0.000 0.500 0.000
C: 0.119 0.161 0.526
C: 0.119 0.339 0.026
C: 0.176 0.557 0.888
C: 0.176 0.943 0.388
C: 0.179 0.549 0.203
C: 0.179 0.951 0.703
C: 0.821 0.049 0.297
C: 0.821 0.451 0.797
C: 0.824 0.057 0.612
C: 0.824 0.443 0.112
C: 0.881 0.661 0.974
C: 0.881 0.839 0.474
N: 0.199 0.239 0.045
N: 0.199 0.261 0.545
N: 0.284 0.592 0.816
N: 0.284 0.908 0.316
N: 0.291 0.578 0.332
N: 0.291 0.922 0.832
N: 0.709 0.078 0.168
N: 0.709 0.422 0.668
N: 0.716 0.092 0.684
N: 0.716 0.408 0.184
N: 0.801 0.739 0.455
N: 0.801 0.761 0.955

Record 6
Diffraction record for KTiCoC2. The XRD peak list is simulated, not measured: it uses the GGA-PBE geometry in Alexandria and a wavelength of 1.5418 Å.
Neutral-atom scattering factors, no anomalous dispersion.

The 10 most intense peaks (10° ≤ 2θ ≤ 90°), by angle:
- 23.2 deg, I = 47
- 30.0 deg, I = 74
- 33.0 deg, I = 100
- 38.1 deg, I = 58
- 38.2 deg, I = 16
- 47.4 deg, I = 58
- 51.2 deg, I = 54
- 57.1 deg, I = 22
- 62.3 deg, I = 46
- 81.9 deg, I = 19

Structure:
Unit cell a=3.838 b=3.838 c=4.729 alpha=90.00 beta=90.00 gamma=90.00
Fractional coordinates of all 5 atoms:
K: 0.000 0.000 0.000
Ti: 0.500 0.500 0.000
Co: 0.000 0.000 0.500
C: 0.000 0.500 0.500
C: 0.500 0.000 0.500

Which formula does entry 4 have? ZnIn2CoC